No. 1
Calculated PXRD pattern
Compound: YMg5Cd7
Radiation: Cu Ka
Structure: DFT lattice parameters and positions (GGA-PBE)
Intensities are scaled so that the largest is 1000.

Structural model:
Unit cell a=7.5833 b=7.5833 c=7.5833 alpha=133.06 beta=98.49 gamma=99.77
Fractional coordinates of all 13 atoms:
Y: 0.0000 0.0000 0.0000
Mg: 0.0023 0.5004 0.0050
Mg: 0.0023 0.9973 0.5019
Mg: 0.4954 0.5004 0.4981
Mg: 0.4954 0.9973 0.9950
Mg: 0.7824 0.2824 0.5000
Cd: 0.2086 0.4959 0.7127
Cd: 0.2117 0.7117 0.5000
Cd: 0.3493 0.0020 0.3473
Cd: 0.3485 0.3485 0.0000
Cd: 0.6547 0.0020 0.6527
Cd: 0.6601 0.6601 0.0000
Cd: 0.7831 0.4959 0.2873

Top 8 peaks for 10° ≤ 2θ ≤ 90°, by angle:
two_theta	d/Å	I (rel.)
25.6	3.478	323
29.6	3.020	813
30.9	2.896	658
31.2	2.867	375
36.0	2.492	719
36.2	2.480	1000
39.5	2.280	572
40.4	2.230	318

***

No. 2
Calculated PXRD pattern
Compound: YMg4Cd4
Radiation: Cu Ka
Structure: DFT lattice parameters and positions (GGA-PBE)
Intensities are scaled so that the largest is 1000.

Structural model:
Unit cell a=6.5713 b=6.5713 c=9.9693 alpha=90.00 beta=90.00 gamma=90.00
Fractional coordinates of all 18 atoms:
Y: 0.2500 0.7500 0.2500
Y: 0.7500 0.2500 0.7500
Mg: 0.0296 0.2500 0.1748
Mg: 0.2500 0.0296 0.6748
Mg: 0.2500 0.4704 0.6748
Mg: 0.4704 0.2500 0.1748
Mg: 0.5296 0.7500 0.8252
Mg: 0.7500 0.5296 0.3252
Mg: 0.7500 0.9704 0.3252
Mg: 0.9704 0.7500 0.8252
Cd: 0.0182 0.2500 0.4690
Cd: 0.2500 0.0182 0.9690
Cd: 0.2500 0.4818 0.9690
Cd: 0.4818 0.2500 0.4690
Cd: 0.5182 0.7500 0.5310
Cd: 0.7500 0.5182 0.0310
Cd: 0.7500 0.9818 0.0310
Cd: 0.9818 0.7500 0.5310

Top 8 peaks for 10° ≤ 2θ ≤ 90°, by angle:
two_theta	d/Å	I (rel.)
17.8	4.985	362
28.6	3.121	1000
30.1	2.965	212
31.7	2.819	346
38.5	2.336	635
38.8	2.323	282
42.9	2.106	410
70.0	1.344	210

***

No. 3
Calculated PXRD pattern
Compound: YMgCd6
Radiation: Cu Ka
Structure: DFT lattice parameters and positions (GGA-PBE)
Intensities are scaled so that the largest is 1000.

Structural model:
Unit cell a=4.8515 b=6.3902 c=6.3902 alpha=69.04 beta=90.00 gamma=90.00
Fractional coordinates of all 8 atoms:
Y: 0.0000 0.0000 0.0000
Mg: 0.5000 0.2482 0.2482
Cd: 0.0000 0.4387 0.4387
Cd: 0.0000 0.5096 0.9345
Cd: 0.0000 0.9345 0.5096
Cd: 0.5000 0.3170 0.7428
Cd: 0.5000 0.7428 0.3170
Cd: 0.5000 0.8059 0.8059

Top 8 peaks for 10° ≤ 2θ ≤ 90°, by angle:
two_theta	d/Å	I (rel.)
29.9	2.984	162
33.9	2.647	173
34.1	2.633	143
35.3	2.541	1000
37.1	2.426	316
38.9	2.314	243
42.7	2.117	117
65.7	1.422	161

***

No. 4
Calculated PXRD pattern
Compound: Y2Mg3Cd4
Radiation: Cu Ka
Structure: DFT lattice parameters and positions (GGA-PBE)
Intensities are scaled so that the largest is 1000.

Structural model:
Unit cell a=9.1463 b=9.1463 c=8.2024 alpha=90.00 beta=90.00 gamma=140.58
Fractional coordinates of all 18 atoms:
Y: 0.0959 0.9041 0.8967
Y: 0.4041 0.5959 0.3967
Y: 0.5959 0.4041 0.6033
Y: 0.9041 0.0959 0.1033
Mg: 0.0000 0.0000 0.5000
Mg: 0.0119 0.4881 0.7500
Mg: 0.4881 0.0119 0.2500
Mg: 0.5000 0.5000 0.0000
Mg: 0.5119 0.9881 0.7500
Mg: 0.9881 0.5119 0.2500
Cd: 0.1668 0.8332 0.5224
Cd: 0.1821 0.3179 0.7500
Cd: 0.3179 0.1821 0.2500
Cd: 0.3332 0.6668 0.0224
Cd: 0.6668 0.3332 0.9776
Cd: 0.6821 0.8179 0.7500
Cd: 0.8179 0.6821 0.2500
Cd: 0.8332 0.1668 0.4776

Top 8 peaks for 10° ≤ 2θ ≤ 90°, by angle:
two_theta	d/Å	I (rel.)
23.8	3.740	511
31.7	2.824	710
32.7	2.738	783
34.4	2.606	621
36.4	2.465	1000
37.5	2.398	368
38.3	2.351	511
63.4	1.468	399

***

No. 5
Calculated PXRD pattern
Compound: Mg2Zn3Cd8
Radiation: Cu Ka
Structure: DFT lattice parameters and positions (GGA-PBE)
Intensities are scaled so that the largest is 1000.

Structural model:
Unit cell a=9.8517 b=3.2208 c=9.9585 alpha=90.00 beta=118.69 gamma=90.00
Fractional coordinates of all 13 atoms:
Mg: 0.0369 0.0000 0.3655
Mg: 0.9631 0.0000 0.6345
Zn: 0.4410 0.5000 0.2073
Zn: 0.5000 0.0000 0.0000
Zn: 0.5590 0.5000 0.7927
Cd: 0.1540 0.0000 0.1401
Cd: 0.1952 0.5000 0.9003
Cd: 0.2836 0.0000 0.6824
Cd: 0.3350 0.5000 0.4414
Cd: 0.6650 0.5000 0.5586
Cd: 0.7164 0.0000 0.3176
Cd: 0.8048 0.5000 0.0997
Cd: 0.8460 0.0000 0.8599

Top 8 peaks for 10° ≤ 2θ ≤ 90°, by angle:
two_theta	d/Å	I (rel.)
20.6	4.321	251
33.1	2.704	338
33.2	2.696	437
34.9	2.569	396
37.3	2.412	1000
38.1	2.360	338
39.0	2.307	599
70.3	1.339	287

***

No. 6
Calculated PXRD pattern
Compound: Mg2ZnCd2
Radiation: Cu Ka
Structure: DFT lattice parameters and positions (GGA-PBE)
Intensities are scaled so that the largest is 1000.

Structural model:
Unit cell a=7.5869 b=7.5869 c=7.5869 alpha=148.60 beta=148.60 gamma=45.00
Fractional coordinates of all 5 atoms:
Mg: 0.2500 0.7500 0.5000
Mg: 0.7500 0.2500 0.5000
Zn: 0.0000 0.0000 0.0000
Cd: 0.4021 0.4021 0.0000
Cd: 0.5979 0.5979 0.0000

Top 8 peaks for 10° ≤ 2θ ≤ 90°, by angle:
two_theta	d/Å	I (rel.)
12.6	7.009	375
22.6	3.941	620
28.9	3.085	443
30.8	2.904	654
33.4	2.682	675
38.9	2.315	1000
44.1	2.053	475
60.2	1.536	523

***

No. 7
Calculated PXRD pattern
Compound: Mg10Zn3Cd3
Radiation: Cu Ka
Structure: DFT lattice parameters and positions (GGA-PBE)
Intensities are scaled so that the largest is 1000.

Structural model:
Unit cell a=8.2632 b=8.2632 c=5.7317 alpha=90.00 beta=90.00 gamma=120.00
Fractional coordinates of all 16 atoms:
Mg: 0.0000 0.2476 0.0000
Mg: 0.0000 0.7572 0.5000
Mg: 0.2428 0.2428 0.5000
Mg: 0.2476 0.0000 0.0000
Mg: 0.3333 0.6667 0.2433
Mg: 0.3333 0.6667 0.7567
Mg: 0.6667 0.3333 0.2433
Mg: 0.6667 0.3333 0.7567
Mg: 0.7524 0.7524 0.0000
Mg: 0.7572 0.0000 0.5000
Zn: 0.0000 0.6048 0.0000
Zn: 0.3952 0.3952 0.0000
Zn: 0.6048 0.0000 0.0000
Cd: 0.0000 0.3991 0.5000
Cd: 0.3991 0.0000 0.5000
Cd: 0.6009 0.6009 0.5000

Top 8 peaks for 10° ≤ 2θ ≤ 90°, by angle:
two_theta	d/Å	I (rel.)
12.4	7.156	340
21.5	4.132	364
26.6	3.352	921
31.2	2.866	403
36.7	2.446	1000
37.7	2.385	411
38.2	2.355	613
48.5	1.875	539

***

No. 8
Calculated PXRD pattern
Compound: Mg4Zn4Cd
Radiation: Cu Ka
Structure: DFT lattice parameters and positions (GGA-PBE)
Intensities are scaled so that the largest is 1000.

Structural model:
Unit cell a=6.8769 b=5.6986 c=9.9987 alpha=90.00 beta=110.67 gamma=90.00
Fractional coordinates of all 18 atoms:
Mg: 0.1181 0.1419 0.1449
Mg: 0.1181 0.8581 0.6449
Mg: 0.2512 0.3844 0.8832
Mg: 0.2512 0.6156 0.3832
Mg: 0.7488 0.3844 0.6168
Mg: 0.7488 0.6156 0.1168
Mg: 0.8819 0.1419 0.3551
Mg: 0.8819 0.8581 0.8551
Zn: 0.1504 0.3745 0.5892
Zn: 0.1504 0.6255 0.0892
Zn: 0.3316 0.1226 0.4454
Zn: 0.3316 0.8774 0.9454
Zn: 0.6684 0.1226 0.0546
Zn: 0.6684 0.8774 0.5546
Zn: 0.8496 0.3745 0.9108
Zn: 0.8496 0.6255 0.4108
Cd: 0.5000 0.1172 0.7500
Cd: 0.5000 0.8828 0.2500

Top 8 peaks for 10° ≤ 2θ ≤ 90°, by angle:
two_theta	d/Å	I (rel.)
18.2	4.867	194
20.8	4.272	1000
34.4	2.608	207
38.8	2.321	257
39.2	2.299	355
39.6	2.277	369
41.1	2.194	635
43.0	2.103	522

***

Please write out number 4 again, unchanged.
Calculated PXRD pattern
Compound: Y2Mg3Cd4
Radiation: Cu Ka
Structure: DFT lattice parameters and positions (GGA-PBE)
Intensities are scaled so that the largest is 1000.

Structural model:
Unit cell a=9.1463 b=9.1463 c=8.2024 alpha=90.00 beta=90.00 gamma=140.58
Fractional coordinates of all 18 atoms:
Y: 0.0959 0.9041 0.8967
Y: 0.4041 0.5959 0.3967
Y: 0.5959 0.4041 0.6033
Y: 0.9041 0.0959 0.1033
Mg: 0.0000 0.0000 0.5000
Mg: 0.0119 0.4881 0.7500
Mg: 0.4881 0.0119 0.2500
Mg: 0.5000 0.5000 0.0000
Mg: 0.5119 0.9881 0.7500
Mg: 0.9881 0.5119 0.2500
Cd: 0.1668 0.8332 0.5224
Cd: 0.1821 0.3179 0.7500
Cd: 0.3179 0.1821 0.2500
Cd: 0.3332 0.6668 0.0224
Cd: 0.6668 0.3332 0.9776
Cd: 0.6821 0.8179 0.7500
Cd: 0.8179 0.6821 0.2500
Cd: 0.8332 0.1668 0.4776

Top 8 peaks for 10° ≤ 2θ ≤ 90°, by angle:
two_theta	d/Å	I (rel.)
23.8	3.740	511
31.7	2.824	710
32.7	2.738	783
34.4	2.606	621
36.4	2.465	1000
37.5	2.398	368
38.3	2.351	511
63.4	1.468	399